(1)
Rb7Au3Br: calculated powder XRD pattern (Cu Kα, 1.54184 Å), based on a DFT-relaxed cell (PBE, Alexandria).
Peak positions follow from Bragg's law for the DFT cell and can differ from measured ones.

Top 10 peaks for 10 to 90 degrees two-theta, low angle first:
- 2θ 11.84, I 38, (1 1 0)
- 2θ 18.42, I 50, (2 0 0)
- 2θ 18.59, I 100, (0 2 1)
- 2θ 18.82, I 70, (2 0 -2)
- 2θ 28.96, I 45, (1 3 1)
- 2θ 30.19, I 94, (4 0 -2)
- 2θ 30.57, I 63, (2 2 1)
- 2θ 31.06, I 80, (2 2 -3)
- 2θ 35.99, I 50, (3 3 0)
- 2θ 36.49, I 40, (3 3 -3)

Cell and atoms:
a = 11.829 Å, b = 11.857 Å, c = 9.885 Å
α = 90.00°, β = 125.47°, γ = 90.00°
Space group Cm (No. 8)
Inequivalent atoms, fractional coordinates:
Rb  0.000  0.000  0.000
Rb  0.057  0.500  0.302
Rb  0.246  0.289  0.045
Rb  0.303  0.000  0.597
Rb  0.495  0.297  0.555
Au  0.125  0.214  0.299
Au  0.226  0.000  0.892
Br  0.138  0.500  0.728

---

(2)
RbScAuBr6: calculated powder XRD pattern (Cu Kα, 1.54184 Å), based on a DFT-relaxed cell (PBE, Alexandria).
Peak positions follow from Bragg's law for the DFT cell and can differ from measured ones.

Top 10 peaks for 10 to 90 degrees two-theta, low angle first:
- 2θ 11.67, I 56, (0 0 1)
- 2θ 14.35, I 31, (1 0 0)
- 2θ 18.53, I 100, (1 0 1)
- 2θ 27.65, I 98, (2 -1 1)
- 2θ 31.28, I 18, (2 0 1)
- 2θ 34.53, I 99, (2 -1 2)
- 2θ 40.44, I 39, (3 -1 1)
- 2θ 43.90, I 28, (1 1 3)
- 2θ 44.00, I 38, (3 0 0)
- 2θ 54.98, I 23, (3 1 1)

Cell and atoms:
a = 7.1286 Å, b = 7.1286 Å, c = 7.5860 Å
α = 90.00°, β = 90.00°, γ = 120.00°
Space group P312 (No. 149)
Inequivalent atoms, fractional coordinates:
Rb  0.0000  0.0000  0.0000
Sc  0.3333  0.6667  0.5000
Au  0.6667  0.3333  0.5000
Br  0.0120  0.3868  0.7078

---

(3)
ReAu2Br: calculated powder XRD pattern (Cu Kα, 1.54184 Å), based on a DFT-relaxed cell (PBE, Alexandria).
Peak positions follow from Bragg's law for the DFT cell and can differ from measured ones.

Top 10 peaks for 10 to 90 degrees two-theta, low angle first:
- 2θ 34.01, I 25, (1 0 1)
- 2θ 34.95, I 30, (1 0 -2)
- 2θ 35.43, I 100, (0 1 2)
- 2θ 39.52, I 25, (1 0 2)
- 2θ 40.75, I 20, (0 0 4)
- 2θ 40.89, I 22, (1 0 -3)
- 2θ 42.35, I 24, (0 1 3)
- 2θ 42.98, I 38, (1 1 0)
- 2θ 43.24, I 34, (1 1 -1)
- 2θ 74.92, I 16, (2 1 1)

Cell and atoms:
a = 2.899 Å, b = 3.089 Å, c = 8.932 Å
α = 90.00°, β = 97.42°, γ = 90.00°
Space group Pm (No. 6)
Inequivalent atoms, fractional coordinates:
Re  0.000  0.000  0.000
Au  0.176  0.000  0.440
Au  0.585  0.500  0.213
Br  0.913  0.500  0.784

---

(4)
ReAu2Br: calculated powder XRD pattern (Cu Kα, 1.54184 Å), based on a DFT-relaxed cell (PBE, Alexandria).
Peak positions follow from Bragg's law for the DFT cell and can differ from measured ones.

Top 10 peaks for 10 to 90 degrees two-theta, low angle first:
- 2θ 13.24, I 100, (0 0 1)
- 2θ 19.77, I 25, (2 0 0)
- 2θ 29.32, I 28, (2 0 -2)
- 2θ 35.34, I 72, (1 1 1)
- 2θ 39.22, I 22, (4 0 -1)
- 2θ 40.17, I 33, (4 0 0)
- 2θ 40.75, I 20, (2 0 -3)
- 2θ 42.70, I 25, (3 1 -1)
- 2θ 43.38, I 31, (1 1 2)
- 2θ 46.92, I 37, (3 1 -2)

Cell and atoms:
a = 9.238 Å, b = 2.982 Å, c = 6.880 Å
α = 90.00°, β = 103.55°, γ = 90.00°
Space group Cm (No. 8)
Inequivalent atoms, fractional coordinates:
Re  0.000  0.000  0.000
Au  0.252  0.000  0.885
Au  0.484  0.000  0.658
Br  0.081  0.500  0.303

---

(5)
Rh2AuBr: calculated powder XRD pattern (Cu Kα, 1.54184 Å), based on a DFT-relaxed cell (PBE, Alexandria).
Peak positions follow from Bragg's law for the DFT cell and can differ from measured ones.

Top 10 peaks for 10 to 90 degrees two-theta, low angle first:
- 2θ 17.53, I 16, (0 0 2)
- 2θ 26.43, I 13, (0 0 3)
- 2θ 35.50, I 24, (0 0 4)
- 2θ 35.88, I 40, (0 2 0)
- 2θ 37.23, I 10, (1 1 1)
- 2θ 40.42, I 100, (1 1 2)
- 2θ 45.31, I 12, (1 1 3)
- 2θ 51.36, I 17, (0 2 4)
- 2θ 67.55, I 22, (1 3 2)
- 2θ 76.20, I 12, (1 1 7)

Cell and atoms:
a = 2.866 Å, b = 5.006 Å, c = 10.116 Å
α = 90.00°, β = 90.00°, γ = 90.00°
Space group Cmm2 (No. 35)
Inequivalent atoms, fractional coordinates:
Rh  0.000  0.000  0.000
Rh  0.000  0.500  0.212
Au  0.000  0.000  0.453
Br  0.000  0.500  0.778

---

(6)
AuSBr3: calculated powder XRD pattern (Cu Kα, 1.54184 Å), based on a DFT-relaxed cell (PBE, Alexandria).
Peak positions follow from Bragg's law for the DFT cell and can differ from measured ones.

Top 10 peaks for 10 to 90 degrees two-theta, low angle first:
- 2θ 11.17, I 100, (0 1 1)
- 2θ 15.97, I 52, (0 1 2)
- 2θ 19.39, I 41, (0 2 1)
- 2θ 21.62, I 20, (1 2 0)
- 2θ 22.36, I 22, (0 1 -3)
- 2θ 25.69, I 21, (1 -2 1)
- 2θ 27.78, I 26, (0 2 -3)
- 2θ 28.71, I 44, (0 1 -4)
- 2θ 32.18, I 19, (2 -1 0)
- 2θ 45.56, I 24, (2 4 -1)

Cell and atoms:
a = 6.272 Å, b = 9.787 Å, c = 13.498 Å
α = 86.58°, β = 79.78°, γ = 80.40°
Space group P-1 (No. 2)
Inequivalent atoms, fractional coordinates:
Au  0.223  0.425  0.106
Au  0.272  0.574  0.897
S  0.101  0.634  0.501
S  0.274  0.079  0.780
Br  0.016  0.351  0.334
Br  0.043  0.241  0.054
Br  0.139  0.173  0.644
Br  0.409  0.600  0.167
Br  0.414  0.718  0.466
Br  0.458  0.088  0.274

---

> Number 4 is which compound?

ReAu2Br